Record 1
The following is a computed PXRD pattern of Bi10Te10Ir. It was derived from a crystal structure in OQMD, relaxed with GGA-PBE, using Cu Ka.

Peak list (6 most intense, 2θ = 10–90°, by angle)
2theta	I_rel	(hkl)
25.75	100	2 1 2
29.42	43	3 3 0
32.02	54	2 3 2
40.07	54	1 5 2
41.16	37	0 0 4
42.39	39	5 1 2

a = 12.4069 Å, b = 13.4118 Å, c = 8.7729 Å
α = 90.00°, β = 90.00°, γ = 90.00°
Fractional positions:
Bi 0.0000 0.0000 0.2472
Bi 0.0000 0.0000 0.7528
Bi 0.1343 0.4191 0.2830
Bi 0.1343 0.4191 0.7170
Bi 0.1448 0.6597 0.5000
Bi 0.2157 0.5612 0.0000
Bi 0.2843 0.0612 0.0000
Bi 0.3552 0.1597 0.5000
Bi 0.3657 0.9191 0.2830
Bi 0.3657 0.9191 0.7170
Bi 0.5000 0.5000 0.2472
Bi 0.5000 0.5000 0.7528
Bi 0.6343 0.0809 0.2830
Bi 0.6343 0.0809 0.7170
Bi 0.6448 0.8403 0.5000
Bi 0.7157 0.9388 0.0000
Bi 0.7843 0.4388 0.0000
Bi 0.8552 0.3403 0.5000
Bi 0.8657 0.5809 0.2830
Bi 0.8657 0.5809 0.7170
Te 0.0106 0.3368 0.0000
Te 0.1235 0.8817 0.0000
Te 0.1460 0.8966 0.5000
Te 0.1730 0.1792 0.2653
Te 0.1730 0.1792 0.7347
Te 0.3270 0.6792 0.2653
Te 0.3270 0.6792 0.7347
Te 0.3540 0.3966 0.5000
Te 0.3765 0.3817 0.0000
Te 0.4894 0.8368 0.0000
Te 0.5106 0.1632 0.0000
Te 0.6235 0.6183 0.0000
Te 0.6460 0.6034 0.5000
Te 0.6730 0.3208 0.2653
Te 0.6730 0.3208 0.7347
Te 0.8270 0.8208 0.2653
Te 0.8270 0.8208 0.7347
Te 0.8540 0.1034 0.5000
Te 0.8765 0.1183 0.0000
Te 0.9894 0.6632 0.0000
Ir 0.0000 0.5000 0.5000
Ir 0.5000 0.0000 0.5000

Record 2
The following is a computed PXRD pattern of PrNdB2P2Ir2. It was derived from a crystal structure in OQMD, relaxed with GGA-PBE, using Cu Ka.

Peak list (6 most intense, 2θ = 10–90°, by angle)
2theta	I_rel	(hkl)
10.49	91	0 0 1
31.83	49	0 0 3
33.19	95	1 1 1
38.12	100	1 1 2
45.00	45	2 0 0
56.17	39	2 0 3

a = 4.0289 Å, b = 4.0289 Å, c = 8.4355 Å
α = 90.00°, β = 90.00°, γ = 90.00°
Fractional positions:
Pr 0.0000 0.0000 0.0000
Nd 0.5000 0.5000 0.6103
B 0.0000 0.0000 0.4131
B 0.5000 0.5000 0.1957
P 0.0000 0.0000 0.6506
P 0.5000 0.5000 0.9571
Ir 0.0000 0.5000 0.3051
Ir 0.5000 0.0000 0.3051

Repeat the first record exactly.
The following is a computed PXRD pattern of Bi10Te10Ir. It was derived from a crystal structure in OQMD, relaxed with GGA-PBE, using Cu Ka.

Peak list (6 most intense, 2θ = 10–90°, by angle)
2theta	I_rel	(hkl)
25.75	100	2 1 2
29.42	43	3 3 0
32.02	54	2 3 2
40.07	54	1 5 2
41.16	37	0 0 4
42.39	39	5 1 2

a = 12.4069 Å, b = 13.4118 Å, c = 8.7729 Å
α = 90.00°, β = 90.00°, γ = 90.00°
Fractional positions:
Bi 0.0000 0.0000 0.2472
Bi 0.0000 0.0000 0.7528
Bi 0.1343 0.4191 0.2830
Bi 0.1343 0.4191 0.7170
Bi 0.1448 0.6597 0.5000
Bi 0.2157 0.5612 0.0000
Bi 0.2843 0.0612 0.0000
Bi 0.3552 0.1597 0.5000
Bi 0.3657 0.9191 0.2830
Bi 0.3657 0.9191 0.7170
Bi 0.5000 0.5000 0.2472
Bi 0.5000 0.5000 0.7528
Bi 0.6343 0.0809 0.2830
Bi 0.6343 0.0809 0.7170
Bi 0.6448 0.8403 0.5000
Bi 0.7157 0.9388 0.0000
Bi 0.7843 0.4388 0.0000
Bi 0.8552 0.3403 0.5000
Bi 0.8657 0.5809 0.2830
Bi 0.8657 0.5809 0.7170
Te 0.0106 0.3368 0.0000
Te 0.1235 0.8817 0.0000
Te 0.1460 0.8966 0.5000
Te 0.1730 0.1792 0.2653
Te 0.1730 0.1792 0.7347
Te 0.3270 0.6792 0.2653
Te 0.3270 0.6792 0.7347
Te 0.3540 0.3966 0.5000
Te 0.3765 0.3817 0.0000
Te 0.4894 0.8368 0.0000
Te 0.5106 0.1632 0.0000
Te 0.6235 0.6183 0.0000
Te 0.6460 0.6034 0.5000
Te 0.6730 0.3208 0.2653
Te 0.6730 0.3208 0.7347
Te 0.8270 0.8208 0.2653
Te 0.8270 0.8208 0.7347
Te 0.8540 0.1034 0.5000
Te 0.8765 0.1183 0.0000
Te 0.9894 0.6632 0.0000
Ir 0.0000 0.5000 0.5000
Ir 0.5000 0.0000 0.5000

Q: Number 2 is which compound?
A: PrNdB2P2Ir2